1.
For Rb2AuS2, a structure optimized by DFT (PBE) gives the simulated powder diffractogram in this record (Cu Ka).
Peak positions follow from Bragg's law for the DFT cell and can differ from measured ones.

Crystal structure
```
data_Rb2AuS2
_chemical_formula_sum 'Rb4 Au2 S4'
_cell_length_a 12.067
_cell_length_b 3.882
_cell_length_c 6.774
_cell_angle_alpha 90.00
_cell_angle_beta 104.06
_cell_angle_gamma 90.00
_space_group_name_H-M_alt 'P 1'
_space_group_IT_number 1
_space_group_name_Hall 'P 1'
loop_
_atom_site_label
_atom_site_type_symbol
_atom_site_fract_x
_atom_site_fract_y
_atom_site_fract_z
Rb1 Rb 0.161 0.000 0.214
Rb2 Rb 0.339 0.500 0.786
Rb3 Rb 0.661 0.500 0.214
Rb4 Rb 0.839 0.000 0.786
Au1 Au 0.000 0.500 0.500
Au2 Au 0.500 0.000 0.500
S1 S 0.106 0.000 0.700
S2 S 0.394 0.500 0.300
S3 S 0.606 0.500 0.700
S4 S 0.894 0.000 0.300
```

Main lines, in order of rising 2θ (5° ≤ 2θ ≤ 70°):
2theta  d (Å)  intensity
13.47  6.572  80
15.14  5.853  35
22.67  3.923  73
26.82  3.325  96
27.72  3.218  62
30.27  2.953  51
32.53  2.752  100
38.06  2.364  69

***

2.
For Rb2ZrAu2S4, a structure optimized by DFT (PBE) gives the simulated powder diffractogram in this record (Cu Ka).
Peak positions follow from Bragg's law for the DFT cell and can differ from measured ones.

Crystal structure
```
data_Rb2ZrAu2S4
_chemical_formula_sum 'Rb2 Zr1 Au2 S4'
_cell_length_a 7.420
_cell_length_b 7.420
_cell_length_c 6.045
_cell_angle_alpha 90.00
_cell_angle_beta 90.00
_cell_angle_gamma 131.82
_space_group_name_H-M_alt 'P 1'
_space_group_IT_number 1
_space_group_name_Hall 'P 1'
loop_
_atom_site_label
_atom_site_type_symbol
_atom_site_fract_x
_atom_site_fract_y
_atom_site_fract_z
Rb1 Rb 0.000 0.500 0.239
Rb2 Rb 0.500 0.000 0.761
Zr1 Zr 0.000 0.000 0.500
Au1 Au 0.000 0.000 0.000
Au2 Au 0.500 0.500 0.500
S1 S 0.125 0.338 0.731
S2 S 0.338 0.125 0.269
S3 S 0.662 0.875 0.269
S4 S 0.875 0.662 0.731
```

Main lines, in order of rising 2θ (5° ≤ 2θ ≤ 70°):
2theta  d (Å)  intensity
13.07  6.774  63
21.78  4.080  64
26.31  3.387  31
28.74  3.106  61
32.41  2.762  100
42.24  2.139  37
50.44  1.809  62
51.89  1.762  29

***

3.
For RbSnTe2AuSe, a structure optimized by DFT (PBE) gives the simulated powder diffractogram in this record (Cu Ka).
Peak positions follow from Bragg's law for the DFT cell and can differ from measured ones.

Crystal structure
```
data_RbSnTe2AuSe
_chemical_formula_sum 'Rb2 Sn2 Te4 Au2 Se2'
_cell_length_a 7.116
_cell_length_b 7.116
_cell_length_c 12.089
_cell_angle_alpha 90.00
_cell_angle_beta 90.00
_cell_angle_gamma 142.45
_space_group_name_H-M_alt 'P 1'
_space_group_IT_number 1
_space_group_name_Hall 'P 1'
loop_
_atom_site_label
_atom_site_type_symbol
_atom_site_fract_x
_atom_site_fract_y
_atom_site_fract_z
Rb1 Rb 0.213 0.787 0.750
Rb2 Rb 0.787 0.213 0.250
Sn1 Sn 0.500 0.500 0.000
Sn2 Sn 0.500 0.500 0.500
Te1 Te 0.153 0.847 0.036
Te2 Te 0.153 0.847 0.464
Te3 Te 0.847 0.153 0.536
Te4 Te 0.847 0.153 0.964
Au1 Au 0.080 0.920 0.250
Au2 Au 0.920 0.080 0.750
Se1 Se 0.487 0.513 0.250
Se2 Se 0.513 0.487 0.750
```

Main lines, in order of rising 2θ (5° ≤ 2θ ≤ 70°):
2theta  d (Å)  intensity
15.05  5.885  49
27.82  3.207  100
28.80  3.100  70
29.56  3.022  75
31.58  2.833  29
39.33  2.291  46
41.03  2.200  46
49.95  1.826  43

***

4.
For RbTbTe4Au3, a structure optimized by DFT (PBE) gives the simulated powder diffractogram in this record (Cu Ka).
Peak positions follow from Bragg's law for the DFT cell and can differ from measured ones.

Crystal structure
```
data_RbTbTe4Au3
_chemical_formula_sum 'Rb1 Tb1 Te4 Au3'
_cell_length_a 6.949
_cell_length_b 6.949
_cell_length_c 6.949
_cell_angle_alpha 90.00
_cell_angle_beta 90.00
_cell_angle_gamma 90.00
_space_group_name_H-M_alt 'P 1'
_space_group_IT_number 1
_space_group_name_Hall 'P 1'
loop_
_atom_site_label
_atom_site_type_symbol
_atom_site_fract_x
_atom_site_fract_y
_atom_site_fract_z
Rb1 Rb 0.000 0.000 0.000
Tb1 Tb 0.500 0.500 0.500
Te1 Te 0.266 0.266 0.266
Te2 Te 0.266 0.734 0.734
Te3 Te 0.734 0.266 0.734
Te4 Te 0.734 0.734 0.266
Au1 Au 0.000 0.500 0.500
Au2 Au 0.500 0.000 0.500
Au3 Au 0.500 0.500 0.000
```

Main lines, in order of rising 2θ (5° ≤ 2θ ≤ 70°):
2theta  d (Å)  intensity
12.74  6.949  36
22.16  4.012  71
28.73  3.108  10
36.57  2.457  100
43.18  2.095  36
52.69  1.737  17
57.84  1.594  15
65.84  1.419  34

***

5.
For RbTe5Au3, a structure optimized by DFT (PBE) gives the simulated powder diffractogram in this record (Cu Ka).
Peak positions follow from Bragg's law for the DFT cell and can differ from measured ones.

Crystal structure
```
data_RbTe5Au3
_chemical_formula_sum 'Rb1 Te5 Au3'
_cell_length_a 5.944
_cell_length_b 5.944
_cell_length_c 8.565
_cell_angle_alpha 90.00
_cell_angle_beta 90.00
_cell_angle_gamma 120.00
_space_group_name_H-M_alt 'P 1'
_space_group_IT_number 1
_space_group_name_Hall 'P 1'
loop_
_atom_site_label
_atom_site_type_symbol
_atom_site_fract_x
_atom_site_fract_y
_atom_site_fract_z
Rb1 Rb 0.000 0.000 0.000
Te1 Te 0.000 0.000 0.500
Te2 Te 0.333 0.667 0.158
Te3 Te 0.333 0.667 0.842
Te4 Te 0.667 0.333 0.158
Te5 Te 0.667 0.333 0.842
Au1 Au 0.000 0.500 0.500
Au2 Au 0.500 0.000 0.500
Au3 Au 0.500 0.500 0.500
```

Main lines, in order of rising 2θ (5° ≤ 2θ ≤ 70°):
2theta  d (Å)  intensity
10.33  8.565  63
20.74  4.283  42
30.07  2.972  36
31.33  2.855  53
31.87  2.808  45
36.45  2.465  99
40.91  2.206  100
55.85  1.646  47

***

6.
For RbTmTe3Au, a structure optimized by DFT (PBE) gives the simulated powder diffractogram in this record (Cu Ka).
Peak positions follow from Bragg's law for the DFT cell and can differ from measured ones.

Crystal structure
```
data_RbTmTe3Au
_chemical_formula_sum 'Rb2 Tm2 Te6 Au2'
_cell_length_a 8.766
_cell_length_b 8.766
_cell_length_c 11.240
_cell_angle_alpha 90.00
_cell_angle_beta 90.00
_cell_angle_gamma 152.14
_space_group_name_H-M_alt 'P 1'
_space_group_IT_number 1
_space_group_name_Hall 'P 1'
loop_
_atom_site_label
_atom_site_type_symbol
_atom_site_fract_x
_atom_site_fract_y
_atom_site_fract_z
Rb1 Rb 0.243 0.757 0.750
Rb2 Rb 0.757 0.243 0.250
Tm1 Tm 0.000 0.000 0.000
Tm2 Tm 0.000 0.000 0.500
Te1 Te 0.073 0.927 0.250
Te2 Te 0.374 0.626 0.046
Te3 Te 0.374 0.626 0.454
Te4 Te 0.626 0.374 0.546
Te5 Te 0.626 0.374 0.954
Te6 Te 0.927 0.073 0.750
Au1 Au 0.464 0.536 0.250
Au2 Au 0.536 0.464 0.750
```

Main lines, in order of rising 2θ (5° ≤ 2θ ≤ 70°):
2theta  d (Å)  intensity
10.40  8.508  100
26.30  3.389  20
27.51  3.242  60
30.83  2.900  64
31.84  2.810  32
37.53  2.396  37
42.86  2.110  23
48.61  1.873  23

***

7.
For Rb2W3Au2, a structure optimized by DFT (PBE) gives the simulated powder diffractogram in this record (Cu Ka).
Peak positions follow from Bragg's law for the DFT cell and can differ from measured ones.

Crystal structure
```
data_Rb2W3Au2
_chemical_formula_sum 'Rb2 W3 Au2'
_cell_length_a 11.477
_cell_length_b 11.477
_cell_length_c 11.477
_cell_angle_alpha 22.12
_cell_angle_beta 22.12
_cell_angle_gamma 22.12
_space_group_name_H-M_alt 'P 1'
_space_group_IT_number 1
_space_group_name_Hall 'P 1'
loop_
_atom_site_label
_atom_site_type_symbol
_atom_site_fract_x
_atom_site_fract_y
_atom_site_fract_z
Rb1 Rb 0.000 0.000 0.000
Rb2 Rb 0.418 0.418 0.418
W1 W 0.190 0.190 0.190
W2 W 0.568 0.568 0.568
W3 W 0.887 0.887 0.887
Au1 Au 0.273 0.273 0.273
Au2 Au 0.808 0.808 0.808
```

Main lines, in order of rising 2θ (5° ≤ 2θ ≤ 70°):
2theta  d (Å)  intensity
7.90  11.192  100
26.88  3.317  9
31.70  2.823  9
35.62  2.520  14
37.75  2.383  9
40.98  2.202  31
41.81  2.161  13
42.26  2.139  17

***

8.
For RbZnAu2, a structure optimized by DFT (PBE) gives the simulated powder diffractogram in this record (Cu Ka).
Peak positions follow from Bragg's law for the DFT cell and can differ from measured ones.

Crystal structure
```
data_RbZnAu2
_chemical_formula_sum 'Rb2 Zn2 Au4'
_cell_length_a 4.582
_cell_length_b 7.621
_cell_length_c 6.601
_cell_angle_alpha 90.00
_cell_angle_beta 90.00
_cell_angle_gamma 90.00
_space_group_name_H-M_alt 'P 1'
_space_group_IT_number 1
_space_group_name_Hall 'P 1'
loop_
_atom_site_label
_atom_site_type_symbol
_atom_site_fract_x
_atom_site_fract_y
_atom_site_fract_z
Rb1 Rb 0.250 0.250 0.110
Rb2 Rb 0.750 0.750 0.890
Zn1 Zn 0.250 0.750 0.415
Zn2 Zn 0.750 0.250 0.585
Au1 Au 0.250 0.066 0.599
Au2 Au 0.250 0.434 0.599
Au3 Au 0.750 0.566 0.401
Au4 Au 0.750 0.934 0.401
```

Main lines, in order of rising 2θ (5° ≤ 2θ ≤ 70°):
2theta  d (Å)  intensity
13.41  6.601  100
22.64  3.927  19
27.02  3.300  27
29.49  3.028  30
33.46  2.678  66
39.33  2.291  24
42.95  2.106  45
51.98  1.759  22

***

9.
For Rb3Zn4Au4, a structure optimized by DFT (PBE) gives the simulated powder diffractogram in this record (Cu Ka).
Peak positions follow from Bragg's law for the DFT cell and can differ from measured ones.

Crystal structure
```
data_Rb3Zn4Au4
_chemical_formula_sum 'Rb3 Zn4 Au4'
_cell_length_a 7.189
_cell_length_b 7.189
_cell_length_c 7.189
_cell_angle_alpha 109.47
_cell_angle_beta 109.47
_cell_angle_gamma 109.47
_space_group_name_H-M_alt 'P 1'
_space_group_IT_number 1
_space_group_name_Hall 'P 1'
loop_
_atom_site_label
_atom_site_type_symbol
_atom_site_fract_x
_atom_site_fract_y
_atom_site_fract_z
Rb1 Rb 0.000 0.500 0.500
Rb2 Rb 0.500 0.000 0.500
Rb3 Rb 0.500 0.500 0.000
Zn1 Zn 0.000 0.000 0.241
Zn2 Zn 0.000 0.241 0.000
Zn3 Zn 0.241 0.000 0.000
Zn4 Zn 0.759 0.759 0.759
Au1 Au 0.000 0.000 0.607
Au2 Au 0.000 0.607 0.000
Au3 Au 0.393 0.393 0.393
Au4 Au 0.607 0.000 0.000
```

Main lines, in order of rising 2θ (5° ≤ 2θ ≤ 70°):
2theta  d (Å)  intensity
21.41  4.150  24
26.30  3.389  59
30.46  2.935  100
34.16  2.625  52
40.67  2.218  55
46.41  1.956  82
51.65  1.770  23
69.85  1.347  35

***

10.
For TlReAu3S4, a structure optimized by DFT (PBE) gives the simulated powder diffractogram in this record (Cu Ka).
Peak positions follow from Bragg's law for the DFT cell and can differ from measured ones.

Crystal structure
```
data_TlReAu3S4
_chemical_formula_sum 'Tl1 Re1 Au3 S4'
_cell_length_a 6.236
_cell_length_b 6.236
_cell_length_c 6.236
_cell_angle_alpha 90.00
_cell_angle_beta 90.00
_cell_angle_gamma 90.00
_space_group_name_H-M_alt 'P 1'
_space_group_IT_number 1
_space_group_name_Hall 'P 1'
loop_
_atom_site_label
_atom_site_type_symbol
_atom_site_fract_x
_atom_site_fract_y
_atom_site_fract_z
Tl1 Tl 0.000 0.000 0.000
Re1 Re 0.500 0.500 0.500
Au1 Au 0.000 0.500 0.500
Au2 Au 0.500 0.000 0.500
Au3 Au 0.500 0.500 0.000
S1 S 0.288 0.288 0.288
S2 S 0.288 0.712 0.712
S3 S 0.712 0.288 0.712
S4 S 0.712 0.712 0.288
```

Main lines, in order of rising 2θ (5° ≤ 2θ ≤ 70°):
2theta  d (Å)  intensity
14.20  6.236  27
20.14  4.409  20
24.73  3.600  81
28.63  3.118  81
40.93  2.205  100
48.41  1.880  41
50.71  1.800  25
67.13  1.394  34

***

11.
For Re3Si5Au, a structure optimized by DFT (PBE) gives the simulated powder diffractogram in this record (Cu Ka).
Peak positions follow from Bragg's law for the DFT cell and can differ from measured ones.

Crystal structure
```
data_Re3Si5Au
_chemical_formula_sum 'Re3 Si5 Au1'
_cell_length_a 5.262
_cell_length_b 5.262
_cell_length_c 6.376
_cell_angle_alpha 90.00
_cell_angle_beta 90.00
_cell_angle_gamma 120.00
_space_group_name_H-M_alt 'P 1'
_space_group_IT_number 1
_space_group_name_Hall 'P 1'
loop_
_atom_site_label
_atom_site_type_symbol
_atom_site_fract_x
_atom_site_fract_y
_atom_site_fract_z
Re1 Re 0.000 0.500 0.000
Re2 Re 0.500 0.000 0.000
Re3 Re 0.500 0.500 0.000
Si1 Si 0.000 0.000 0.000
Si2 Si 0.333 0.667 0.317
Si3 Si 0.333 0.667 0.683
Si4 Si 0.667 0.333 0.317
Si5 Si 0.667 0.333 0.683
Au1 Au 0.000 0.000 0.500
```

Main lines, in order of rising 2θ (5° ≤ 2θ ≤ 70°):
2theta  d (Å)  intensity
13.89  6.376  62
24.00  3.708  100
27.99  3.188  53
36.96  2.432  50
39.55  2.279  68
42.11  2.146  35
47.18  1.926  26
49.15  1.854  93